[1]
This entry pairs a crystal structure of Tb3Th3Sc with its theoretical powder XRD pattern. Radiation: a wavelength of 1.5418 Å. Structure: a crystal structure in Alexandria, relaxed with GGA-PBE.
Neutral-atom scattering factors, no anomalous dispersion.

Atomic structure:
```
Tb3Th3Sc
1.0
4.330 2.500 7.189
-4.330 2.500 7.189
0.000 -5.000 7.189
Tb Th Sc
6 6 2
direct
0.058 0.567 0.233
0.233 0.058 0.567
0.433 0.767 0.942
0.567 0.233 0.058
0.767 0.942 0.433
0.942 0.433 0.767
0.201 0.705 0.437
0.295 0.563 0.799
0.437 0.201 0.705
0.563 0.799 0.295
0.705 0.437 0.201
0.799 0.295 0.563
0.154 0.154 0.154
0.846 0.846 0.846
```

Main lines, by angle (2θ from 15° to 90°):
d/Å  two_theta  I_rel
4.330  20.51  37
2.850  31.39  12
2.811  31.84  66
2.766  32.37  100
2.742  32.66  38
2.509  35.79  15
2.369  37.98  28
1.868  48.74  17
1.660  55.35  14
1.598  57.69  22
1.432  65.15  12
1.354  69.39  13

[2]
This entry pairs a crystal structure of Zn13Cd2 with its theoretical powder XRD pattern. Radiation: a wavelength of 1.5418 Å. Structure: a crystal structure in Alexandria, relaxed with GGA-PBE.
Neutral-atom scattering factors, no anomalous dispersion.

Atomic structure:
```
Zn13Cd2
1.0
3.338 1.927 7.713
-3.338 1.927 7.713
0.000 -3.855 7.713
Zn Cd
13 2
direct
0.000 0.000 0.000
0.119 0.119 0.508
0.119 0.508 0.119
0.248 0.248 0.625
0.248 0.625 0.248
0.375 0.752 0.752
0.492 0.881 0.881
0.508 0.119 0.119
0.625 0.248 0.248
0.752 0.375 0.752
0.752 0.752 0.375
0.881 0.492 0.881
0.881 0.881 0.492
0.146 0.146 0.146
0.854 0.854 0.854
```

Main lines, by angle (2θ from 15° to 90°):
d/Å  two_theta  I_rel
5.610  15.80  22
3.064  29.15  11
2.587  34.68  35
2.524  35.57  17
2.176  41.50  100
2.148  42.07  23
1.724  53.12  17
1.669  55.01  11
1.542  59.98  14
1.435  65.00  9
1.206  79.48  15
1.155  83.73  9

[3]
This entry pairs a crystal structure of Pr6Ho7Tm16 with its theoretical powder XRD pattern. Radiation: a wavelength of 1.5418 Å. Structure: a crystal structure in Alexandria, relaxed with GGA-PBE.
Neutral-atom scattering factors, no anomalous dispersion.

Atomic structure:
```
Pr6Ho7Tm16
1.0
0.000 7.858 7.858
7.858 0.000 7.858
7.858 7.858 0.000
Pr Ho Tm
6 7 16
direct
0.231 0.231 0.769
0.231 0.769 0.231
0.231 0.769 0.769
0.769 0.231 0.231
0.769 0.231 0.769
0.769 0.769 0.231
0.000 0.000 0.500
0.000 0.500 0.000
0.000 0.500 0.500
0.500 0.000 0.000
0.500 0.000 0.500
0.500 0.500 0.000
0.500 0.500 0.500
0.117 0.628 0.628
0.151 0.151 0.151
0.151 0.151 0.548
0.151 0.548 0.151
0.372 0.372 0.372
0.372 0.372 0.883
0.372 0.883 0.372
0.452 0.849 0.849
0.548 0.151 0.151
0.628 0.117 0.628
0.628 0.628 0.117
0.628 0.628 0.628
0.849 0.452 0.849
0.849 0.849 0.452
0.849 0.849 0.849
0.883 0.372 0.372
```

Main lines, by angle (2θ from 15° to 90°):
d/Å  two_theta  I_rel
3.514  25.34  5
3.208  27.81  6
3.025  29.53  9
2.778  32.22  100
2.657  33.74  6
2.619  34.23  6
2.046  44.27  5
1.965  46.21  14
1.725  53.09  5
1.604  57.45  26
1.389  67.41  7
1.243  76.70  7

[4]
This entry pairs a crystal structure of MnIrAu with its theoretical powder XRD pattern. Radiation: a wavelength of 1.5418 Å. Structure: a crystal structure in Alexandria, relaxed with GGA-PBE.
Neutral-atom scattering factors, no anomalous dispersion.

Atomic structure:
```
MnIrAu
1.0
2.434 -1.405 0.000
2.434 1.405 0.000
-1.663 0.000 13.808
Mn Ir Au
2 2 2
direct
0.000 0.000 0.000
0.157 0.157 0.478
0.383 0.383 0.146
0.441 0.441 0.333
0.278 0.278 0.835
0.547 0.547 0.644
```

Main lines, by angle (2θ from 15° to 90°):
d/Å  two_theta  I_rel
3.452  25.81  48
2.429  37.00  100
2.417  37.20  21
2.301  39.14  54
2.251  40.06  60
2.202  40.98  33
2.098  43.11  29
2.044  44.32  73
1.723  53.15  14
1.623  56.73  23
1.405  66.55  41
1.198  80.12  14

[5]
This entry pairs a crystal structure of Np2CuS5 with its theoretical powder XRD pattern. Radiation: a wavelength of 1.5418 Å. Structure: a crystal structure in Alexandria, relaxed with GGA-PBE.
Neutral-atom scattering factors, no anomalous dispersion.

Atomic structure:
```
Np2CuS5
1.0
2.588 -6.289 0.000
2.588 6.289 0.000
0.000 0.000 12.704
Np Cu S
4 2 10
direct
0.146 0.854 0.564
0.146 0.854 0.936
0.854 0.146 0.064
0.854 0.146 0.436
0.173 0.827 0.250
0.827 0.173 0.750
0.052 0.948 0.118
0.052 0.948 0.382
0.245 0.755 0.750
0.328 0.672 0.046
0.328 0.672 0.454
0.672 0.328 0.546
0.672 0.328 0.954
0.755 0.245 0.250
0.948 0.052 0.618
0.948 0.052 0.882
```

Main lines, by angle (2θ from 15° to 90°):
d/Å  two_theta  I_rel
4.787  18.54  100
3.513  25.36  91
3.258  27.38  50
3.172  28.13  57
3.144  28.38  23
2.818  31.75  21
2.587  34.67  51
2.525  35.56  24
2.355  38.21  28
2.084  43.43  45
1.996  45.44  60
1.742  52.52  24

[6]
This entry pairs a crystal structure of DyHo2Er12 with its theoretical powder XRD pattern. Radiation: a wavelength of 1.5418 Å. Structure: a crystal structure in Alexandria, relaxed with GGA-PBE.
Neutral-atom scattering factors, no anomalous dispersion.

Atomic structure:
```
DyHo2Er12
1.0
3.580 0.000 0.000
0.000 5.593 0.000
-1.684 0.000 23.124
Dy Ho Er
1 2 12
direct
0.000 0.000 0.000
0.143 0.000 0.285
0.857 0.000 0.715
0.096 0.500 0.193
0.222 0.500 0.443
0.287 0.000 0.575
0.339 0.500 0.678
0.424 0.000 0.853
0.470 0.500 0.933
0.530 0.500 0.067
0.576 0.000 0.147
0.661 0.500 0.322
0.713 0.000 0.425
0.778 0.500 0.557
0.904 0.500 0.807
```

Main lines, by angle (2θ from 15° to 90°):
d/Å  two_theta  I_rel
2.890  30.94  13
2.844  31.45  31
2.796  32.01  46
2.743  32.65  100
2.605  34.43  12
2.596  34.55  12
2.568  34.94  18
2.025  44.75  11
2.010  45.11  10
1.790  51.02  13
1.604  57.45  20
1.508  61.51  15

[7]
This entry pairs a crystal structure of Sr2LiTl2Pb4 with its theoretical powder XRD pattern. Radiation: a wavelength of 1.5418 Å. Structure: a crystal structure in Alexandria, relaxed with GGA-PBE.
Neutral-atom scattering factors, no anomalous dispersion.

Atomic structure:
```
Sr2LiTl2Pb4
1.0
-3.644 3.644 5.178
3.644 -3.644 5.178
3.644 3.644 -5.178
Sr Li Tl Pb
2 1 2 4
direct
0.250 0.750 0.500
0.750 0.250 0.500
0.000 0.000 0.000
0.266 0.266 0.000
0.734 0.734 0.000
0.274 0.274 0.547
0.274 0.726 0.000
0.726 0.274 0.000
0.726 0.726 0.453
```

Main lines, by angle (2θ from 15° to 90°):
d/Å  two_theta  I_rel
5.162  17.18  9
2.980  29.99  100
2.589  34.65  18
2.577  34.82  33
1.985  45.70  9
1.826  49.94  23
1.822  50.06  11
1.560  59.24  14
1.554  59.46  24
1.490  62.32  11
1.185  81.18  9
1.153  83.93  8

[8]
This entry pairs a crystal structure of Ba3AgSn3 with its theoretical powder XRD pattern. Radiation: a wavelength of 1.5418 Å. Structure: a crystal structure in Alexandria, relaxed with GGA-PBE.
Neutral-atom scattering factors, no anomalous dispersion.

Atomic structure:
```
Ba3AgSn3
1.0
6.258 -2.593 0.000
6.258 2.593 0.000
-6.086 0.000 15.777
Ba Ag Sn
6 2 6
direct
0.026 0.026 0.270
0.176 0.176 0.579
0.326 0.326 0.888
0.674 0.674 0.112
0.824 0.824 0.421
0.974 0.974 0.730
0.377 0.377 0.113
0.623 0.623 0.887
0.081 0.081 0.956
0.321 0.321 0.269
0.465 0.465 0.576
0.535 0.535 0.424
0.679 0.679 0.731
0.919 0.919 0.044
```

Main lines, by angle (2θ from 15° to 90°):
d/Å  two_theta  I_rel
3.290  27.10  86
3.276  27.22  46
3.235  27.58  59
3.129  28.53  38
2.900  30.84  19
2.647  33.86  25
2.627  34.13  100
2.593  34.59  61
1.997  45.43  21
1.846  49.36  18
1.688  54.34  25
1.601  57.57  16

[9]
This entry pairs a crystal structure of RbSiTe3Au with its theoretical powder XRD pattern. Radiation: a wavelength of 1.5418 Å. Structure: a crystal structure in Alexandria, relaxed with GGA-PBE.
Neutral-atom scattering factors, no anomalous dispersion.

Atomic structure:
```
RbSiTe3Au
1.0
6.246 -4.295 0.000
6.246 4.295 0.000
-2.582 0.000 8.475
Rb Si Te Au
2 2 6 2
direct
0.196 0.196 0.275
0.804 0.804 0.725
0.483 0.483 0.862
0.517 0.517 0.138
0.173 0.678 0.193
0.278 0.278 0.732
0.322 0.827 0.807
0.678 0.173 0.193
0.722 0.722 0.268
0.827 0.322 0.807
0.254 0.746 0.500
0.746 0.254 0.500
```

Main lines, by angle (2θ from 15° to 90°):
d/Å  two_theta  I_rel
5.733  15.46  22
3.487  25.54  100
3.437  25.92  88
3.117  28.64  53
3.061  29.17  24
2.902  30.82  21
2.360  38.13  31
2.147  42.08  26
2.032  44.60  23
1.965  46.19  25
1.932  47.04  26
1.871  48.67  22